For VRu2O6, DFT lattice parameters and positions (GGA+U) gives the theoretical XRD peak list in this record (CuKα).
Kinematic intensities with the Lorentz-polarization factor, no thermal factor.

Principal peaks in the range 2θ = 15–90°, in order of falling intensity:
2theta	intensity	h k l
28.9	100.0	1 1 1
55.3	42.4	3 0 2
36.8	34.4	3 0 0
47.5	24.9	2 2 1
61.5	22.4	1 4 1
66.4	14.8	3 3 0
85.6	11.1	0 0 4
65.5	9.3	1 1 3
21.0	8.7	1 1 0
89.1	8.1	4 1 3

Cell lengths 8.4512, 8.4512, 4.5433 Å; angles 90.00, 90.00, 120.00 degrees
Space group P321 (No. 150)
Asymmetric unit:
V: 0.0000 0.0000 0.0000 (multiplicity 1)
V: 0.3333 0.6667 0.4962 (multiplicity 2)
Ru: 0.0000 0.3337 0.0000 (multiplicity 3)
Ru: 0.0000 0.6681 0.5000 (multiplicity 3)
O: 0.1035 0.8835 0.2404 (multiplicity 6)
O: 0.1147 0.5557 0.2508 (multiplicity 6)
O: 0.2145 0.4477 0.7375 (multiplicity 6)